1.
This entry pairs a crystal structure of MoBr3 with its simulated X-ray powder pattern. Radiation: Cu Ka. Structure: a structure optimized by DFT (PBE).

Lattice parameters (Å, degrees): 7.5259 7.5259 6.0471 90.00 90.00 120.00
Positions (direct):
1 Mo 0.0000 0.0000 0.0000
2 Mo 0.0000 0.0000 0.5000
3 Br 0.0000 0.2813 0.2500
4 Br 0.0000 0.7187 0.7500
5 Br 0.2813 0.0000 0.2500
6 Br 0.2813 0.2813 0.7500
7 Br 0.7187 0.0000 0.7500
8 Br 0.7187 0.7187 0.2500

Principal peaks in the range 2θ = 10–90°, most intense first:
d (Å), I_rel
6.518, 100
3.195, 61
2.357, 30
2.173, 20
2.281, 17
2.216, 16
1.910, 15
1.777, 11
1.808, 10
1.629, 9


2.
This entry pairs a crystal structure of MoBr3 with its simulated X-ray powder pattern. Radiation: Cu Ka. Structure: a structure optimized by DFT (PBE).

Lattice parameters (Å, degrees): 6.1195 12.6803 7.2860 90.00 90.00 90.00
Positions (direct):
1 Mo 0.0212 0.2500 0.2470
2 Mo 0.4788 0.2500 0.2470
3 Mo 0.5212 0.7500 0.7530
4 Mo 0.9788 0.7500 0.7530
5 Br 0.2500 0.1025 0.3944
6 Br 0.2500 0.2500 0.9510
7 Br 0.2500 0.3975 0.3944
8 Br 0.2500 0.6105 0.8927
9 Br 0.2500 0.7500 0.4725
10 Br 0.2500 0.8895 0.8927
11 Br 0.7500 0.1105 0.1073
12 Br 0.7500 0.2500 0.5275
13 Br 0.7500 0.3895 0.1073
14 Br 0.7500 0.6025 0.6056
15 Br 0.7500 0.7500 0.0490
16 Br 0.7500 0.8975 0.6056

Principal peaks in the range 2θ = 10–90°, most intense first:
d (Å), I_rel
6.325, 100
3.136, 70
2.345, 34
2.199, 16
2.106, 16
1.781, 13
2.229, 10
1.885, 10
2.113, 8
1.753, 8


3.
This entry pairs a crystal structure of Rb2NaMoBr6 with its simulated X-ray powder pattern. Radiation: Cu Ka. Structure: a structure optimized by DFT (PBE).

Lattice parameters (Å, degrees): 7.8272 7.8272 7.8272 60.00 60.00 60.00
Positions (direct):
1 Rb 0.2500 0.2500 0.2500
2 Rb 0.7500 0.7500 0.7500
3 Na 0.0000 0.0000 0.0000
4 Mo 0.5000 0.5000 0.5000
5 Br 0.2638 0.2638 0.7362
6 Br 0.2638 0.7362 0.2638
7 Br 0.2638 0.7362 0.7362
8 Br 0.7362 0.2638 0.2638
9 Br 0.7362 0.2638 0.7362
10 Br 0.7362 0.7362 0.2638

Principal peaks in the range 2θ = 10–90°, most intense first:
d (Å), I_rel
2.767, 100
3.195, 93
1.957, 69
1.669, 38
1.238, 28
6.391, 23
1.598, 23
1.130, 21
3.914, 15
1.270, 14


Number 2 is which compound? MoBr3